(1)
Computed powder XRD pattern
Compound: Ba3SrCo2Cu4S4O4
Radiation: Cu Kα (weighted mean of Kα1 and Kα2)
Structure: a structure optimized by DFT (GGA+U)
Intensities are scaled so that the largest is 100.

Most intense lines, 2θ = 10–90°, sorted by position:
2θ 22.62, intensity 22, hkl 1 0 1
2θ 31.50, intensity 17, hkl 1 1 0
2θ 32.34, intensity 100, hkl 1 0 5
2θ 32.90, intensity 35, hkl 1 1 2
2θ 36.82, intensity 51, hkl 1 1 4
2θ 39.94, intensity 13, hkl 1 0 7
2θ 45.15, intensity 44, hkl 2 0 0
2θ 56.62, intensity 38, hkl 2 1 5
2θ 58.21, intensity 25, hkl 1 1 10
2θ 65.76, intensity 14, hkl 2 2 0

Cell lengths 4.016, 4.016, 19.101 Å; angles 90.00, 90.00, 90.00 degrees
Atoms (fractional coordinates):
Ba1 0.000 0.000 0.000
Ba2 0.000 0.000 0.195
Ba3 0.500 0.500 0.503
Sr1 0.500 0.500 0.691
Co1 0.000 0.000 0.603
Co2 0.500 0.500 0.098
Cu1 0.000 0.500 0.348
Cu2 0.000 0.500 0.846
Cu3 0.500 0.000 0.348
Cu4 0.500 0.000 0.846
S1 0.000 0.000 0.417
S2 0.000 0.000 0.775
S3 0.500 0.500 0.277
S4 0.500 0.500 0.918
O1 0.000 0.500 0.098
O2 0.000 0.500 0.603
O3 0.500 0.000 0.098
O4 0.500 0.000 0.603

---

(2)
Computed powder XRD pattern
Compound: BaSr3Co2Cu4S4O4
Radiation: Cu Kα (weighted mean of Kα1 and Kα2)
Structure: a structure optimized by DFT (GGA+U)
Intensities are scaled so that the largest is 100.

Most intense lines, 2θ = 10–90°, sorted by position:
2θ 32.11, intensity 13, hkl 1 1 0
2θ 32.78, intensity 100, hkl 1 0 5
2θ 33.51, intensity 41, hkl 1 1 2
2θ 37.43, intensity 55, hkl 1 1 4
2θ 40.41, intensity 17, hkl 1 0 7
2θ 46.05, intensity 49, hkl 2 0 0
2θ 57.67, intensity 37, hkl 2 1 5
2θ 58.92, intensity 25, hkl 1 1 10
2θ 67.17, intensity 15, hkl 2 2 0
2θ 77.43, intensity 14, hkl 2 0 12

Cell lengths 3.942, 3.942, 18.955 Å; angles 90.00, 90.00, 90.00 degrees
Atoms (fractional coordinates):
Ba1 0.000 0.000 0.000
Sr1 0.000 0.000 0.807
Sr2 0.500 0.500 0.311
Sr3 0.500 0.500 0.497
Co1 0.000 0.000 0.404
Co2 0.500 0.500 0.897
Cu1 0.000 0.500 0.157
Cu2 0.000 0.500 0.653
Cu3 0.500 0.000 0.157
Cu4 0.500 0.000 0.653
S1 0.000 0.000 0.232
S2 0.000 0.000 0.578
S3 0.500 0.500 0.085
S4 0.500 0.500 0.727
O1 0.000 0.500 0.404
O2 0.000 0.500 0.896
O3 0.500 0.000 0.404
O4 0.500 0.000 0.896

---

(3)
Computed powder XRD pattern
Compound: Ba2SmCoCu2O7
Radiation: Cu Kα (weighted mean of Kα1 and Kα2)
Structure: a structure optimized by DFT (GGA+U)
Intensities are scaled so that the largest is 100.

Most intense lines, 2θ = 10–90°, sorted by position:
2θ 32.04, intensity 90, hkl 0 1 3
2θ 32.19, intensity 100, hkl 1 0 3
2θ 32.30, intensity 97, hkl 1 1 0
2θ 39.68, intensity 32, hkl 1 1 3
2θ 46.11, intensity 29, hkl 0 2 0
2θ 46.55, intensity 28, hkl 2 0 0
2θ 57.12, intensity 30, hkl 1 1 6
2θ 57.34, intensity 38, hkl 1 2 3
2θ 57.63, intensity 34, hkl 2 1 3
2θ 67.60, intensity 17, hkl 2 2 0

Cell lengths 3.902, 3.938, 11.895 Å; angles 90.00, 90.00, 90.00 degrees
Atoms (fractional coordinates):
Ba1 0.000 0.000 0.184
Ba2 0.000 0.000 0.816
Sm1 0.000 0.000 0.500
Co1 0.500 0.500 0.000
Cu1 0.500 0.500 0.358
Cu2 0.500 0.500 0.642
O1 0.000 0.500 0.374
O2 0.000 0.500 0.626
O3 0.500 0.000 0.000
O4 0.500 0.000 0.374
O5 0.500 0.000 0.626
O6 0.500 0.500 0.152
O7 0.500 0.500 0.848